Entry 1:
This entry pairs a crystal structure of Pm2Dy4ErTm2 with its theoretical XRD peak list. Radiation: λ = 1.5418 Å (Cu Kα). Structure: a GGA-PBE-relaxed structure.
Lines closer than 0.1° are merged.

Largest 10 diffraction maxima, low angle first, 10 to 90 degrees two-theta:
2θ (°)  d_spacing  intensity
29.9  2.989  41
31.6  2.830  59
32.0  2.796  100
32.4  2.762  96
43.4  2.084  15
44.7  2.028  13
48.3  1.886  17
56.3  1.634  20
57.1  1.614  19
58.8  1.569  18

Atomic structure:
```
Pm2Dy4ErTm2
1.0
5.980 0.000 0.000
2.833 5.965 0.000
2.920 0.304 8.053
Pm Dy Er Tm
2 4 1 2
direct
0.234 0.323 0.343
0.766 0.677 0.657
0.116 0.128 0.762
0.239 0.575 0.883
0.761 0.425 0.117
0.884 0.872 0.238
0.500 0.000 0.000
0.320 0.771 0.446
0.680 0.229 0.554
```

***

Entry 2:
This entry pairs a crystal structure of Pm2Dy4Er2Tm with its theoretical XRD peak list. Radiation: λ = 1.5418 Å (Cu Kα). Structure: a GGA-PBE-relaxed structure.
Lines closer than 0.1° are merged.

Largest 10 diffraction maxima, low angle first, 10 to 90 degrees two-theta:
2θ (°)  d_spacing  intensity
29.0  3.078  37
29.6  3.014  17
31.3  2.859  51
32.0  2.793  100
33.7  2.656  91
51.0  1.790  39
55.0  1.668  21
58.4  1.581  20
61.1  1.517  46
87.3  1.117  18

Atomic structure:
```
Pm2Dy4Er2Tm
1.0
9.292 -1.792 0.000
9.292 1.792 0.000
-4.129 0.000 8.576
Pm Dy Er Tm
2 4 2 1
direct
0.165 0.165 0.498
0.835 0.835 0.502
0.019 0.019 0.835
0.314 0.314 0.165
0.686 0.686 0.835
0.981 0.981 0.165
0.353 0.353 0.837
0.647 0.647 0.163
0.500 0.500 0.500
```

***

Entry 3:
This entry pairs a crystal structure of PmDy6Er2Tm with its theoretical XRD peak list. Radiation: λ = 1.5418 Å (Cu Kα). Structure: a GGA-PBE-relaxed structure.
Lines closer than 0.1° are merged.

Largest 10 diffraction maxima, low angle first, 10 to 90 degrees two-theta:
2θ (°)  d_spacing  intensity
28.4  3.143  16
28.7  3.110  36
30.8  2.903  56
30.9  2.893  43
31.5  2.841  100
31.8  2.811  35
32.6  2.748  19
34.2  2.620  44
35.0  2.565  14
37.9  2.372  17

Atomic structure:
```
PmDy6Er2Tm
1.0
4.527 -7.483 0.000
4.527 7.483 0.000
-1.134 0.000 9.410
Pm Dy Er Tm
2 12 4 2
direct
0.025 0.975 0.750
0.975 0.025 0.250
0.016 0.565 0.684
0.123 0.752 0.056
0.248 0.877 0.444
0.291 0.509 0.882
0.435 0.984 0.816
0.491 0.709 0.618
0.509 0.291 0.382
0.565 0.016 0.184
0.709 0.491 0.118
0.752 0.123 0.556
0.877 0.248 0.944
0.984 0.435 0.316
0.200 0.305 0.546
0.305 0.200 0.046
0.695 0.800 0.954
0.800 0.695 0.454
0.410 0.590 0.250
0.590 0.410 0.750
```

***

Entry 4:
This entry pairs a crystal structure of Pm6Dy3ErTm2 with its theoretical XRD peak list. Radiation: λ = 1.5418 Å (Cu Kα). Structure: a GGA-PBE-relaxed structure.
Lines closer than 0.1° are merged.

Largest 10 diffraction maxima, low angle first, 10 to 90 degrees two-theta:
2θ (°)  d_spacing  intensity
30.5  2.929  100
30.9  2.898  32
35.5  2.530  67
50.8  1.796  24
51.3  1.782  24
60.5  1.531  14
60.7  1.527  28
61.0  1.518  14
63.5  1.465  12
82.8  1.165  12

Atomic structure:
```
Pm6Dy3ErTm2
1.0
3.111 -5.388 0.000
3.111 5.388 0.000
-2.067 0.000 11.593
Pm Dy Er Tm
6 3 1 2
direct
0.083 0.417 0.751
0.250 0.250 0.249
0.417 0.083 0.751
0.583 0.917 0.249
0.750 0.750 0.751
0.917 0.583 0.249
0.000 0.000 0.500
0.333 0.667 0.500
0.667 0.333 0.500
0.500 0.500 0.000
0.167 0.833 0.000
0.833 0.167 0.000
```

***

Entry 5:
This entry pairs a crystal structure of Pm2DyEr5Tm with its theoretical XRD peak list. Radiation: λ = 1.5418 Å (Cu Kα). Structure: a GGA-PBE-relaxed structure.
Lines closer than 0.1° are merged.

Largest 10 diffraction maxima, low angle first, 10 to 90 degrees two-theta:
2θ (°)  d_spacing  intensity
29.0  3.080  43
29.5  3.029  52
31.1  2.877  100
33.1  2.709  11
35.1  2.558  10
38.3  2.349  14
46.8  1.941  11
53.3  1.718  24
56.3  1.635  13
61.1  1.516  14

Atomic structure:
```
Pm2DyEr5Tm
1.0
-4.284 4.284 7.766
4.284 -4.284 7.766
4.284 4.284 -7.766
Pm Dy Er Tm
4 2 10 2
direct
0.117 0.617 0.734
0.383 0.117 0.500
0.617 0.883 0.500
0.883 0.383 0.266
0.250 0.250 0.000
0.750 0.750 0.000
0.000 0.000 0.000
0.073 0.147 0.500
0.147 0.647 0.075
0.353 0.427 0.500
0.427 0.927 0.075
0.500 0.500 0.000
0.573 0.073 0.925
0.647 0.573 0.500
0.853 0.353 0.925
0.927 0.853 0.500
0.250 0.750 0.500
0.750 0.250 0.500
```

***

Entry 6:
This entry pairs a crystal structure of PmDyY2Er5 with its theoretical XRD peak list. Radiation: λ = 1.5418 Å (Cu Kα). Structure: a GGA-PBE-relaxed structure.
Lines closer than 0.1° are merged.

Largest 10 diffraction maxima, low angle first, 10 to 90 degrees two-theta:
2θ (°)  d_spacing  intensity
28.5  3.129  21
30.3  2.946  39
32.0  2.796  40
32.6  2.747  100
34.0  2.640  13
43.4  2.085  14
51.5  1.775  11
57.4  1.605  20
60.4  1.532  14
61.9  1.499  13

Atomic structure:
```
PmDyY2Er5
1.0
2.796 -9.828 0.000
2.796 9.828 0.000
0.000 0.000 10.561
Pm Dy Y Er
2 2 4 10
direct
0.083 0.917 0.500
0.917 0.083 0.000
0.299 0.701 0.057
0.701 0.299 0.557
0.387 0.613 0.365
0.390 0.610 0.780
0.610 0.390 0.280
0.613 0.387 0.865
0.021 0.979 0.782
0.110 0.890 0.067
0.201 0.799 0.754
0.217 0.783 0.356
0.481 0.519 0.071
0.519 0.481 0.571
0.783 0.217 0.856
0.799 0.201 0.254
0.890 0.110 0.567
0.979 0.021 0.282
```

***

Entry 7:
This entry pairs a crystal structure of PmDyErZn with its theoretical XRD peak list. Radiation: λ = 1.5418 Å (Cu Kα). Structure: a GGA-PBE-relaxed structure.
Lines closer than 0.1° are merged.

Largest 10 diffraction maxima, low angle first, 10 to 90 degrees two-theta:
2θ (°)  d_spacing  intensity
27.0  3.301  20
30.9  2.893  13
32.5  2.757  100
35.6  2.524  49
47.8  1.902  16
51.2  1.785  17
55.9  1.645  10
59.2  1.561  12
61.9  1.498  31
82.0  1.175  10

Atomic structure:
```
PmDyErZn
1.0
3.570 0.000 0.000
0.000 3.570 0.000
0.000 0.000 8.678
Pm Dy Er Zn
1 1 1 1
direct
0.000 0.000 0.000
0.500 0.500 0.701
0.500 0.500 0.296
0.000 0.000 0.495
```

***

Entry 8:
This entry pairs a crystal structure of Pr2Dy8Er with its theoretical XRD peak list. Radiation: λ = 1.5418 Å (Cu Kα). Structure: a GGA-PBE-relaxed structure.
Lines closer than 0.1° are merged.

Largest 10 diffraction maxima, low angle first, 10 to 90 degrees two-theta:
2θ (°)  d_spacing  intensity
26.8  3.325  15
28.6  3.125  23
30.2  2.960  58
30.5  2.928  23
31.2  2.871  27
31.7  2.819  100
32.4  2.762  46
38.0  2.370  16
47.4  1.919  16
60.5  1.531  17

Atomic structure:
```
Pr2Dy8Er
1.0
4.520 -8.044 0.000
4.520 8.044 0.000
-3.199 0.000 4.966
Pr Dy Er
2 8 1
direct
0.193 0.807 0.000
0.807 0.193 0.000
0.075 0.075 0.297
0.172 0.401 0.827
0.293 0.707 0.500
0.401 0.172 0.827
0.599 0.828 0.173
0.707 0.293 0.500
0.828 0.599 0.173
0.925 0.925 0.703
0.500 0.500 0.500
```